(1)
Theoretical XRD peak list of Sm2Pb2O7 for Cu Kα (λ = 1.5418 Å), from a cell relaxed with GGA-PBE.
Neutral-atom scattering factors, no anomalous dispersion.

Peak list (6 most intense, 10° ≤ 2θ ≤ 90°, in order of rising 2θ)
d (Å)	I (rel.)
3.449	100
3.151	84
3.114	78
3.071	75
2.831	41
2.715	58

Structural model:
a b c (Å): 7.5956 7.1778 12.6891
angles (deg): 90.00 100.99 90.00
Sites, in units of the cell vectors:
Sm 0.0277 0.1007 0.3557
Sm 0.0277 0.3993 0.8557
Sm 0.2295 0.1857 0.1129
Sm 0.2295 0.3143 0.6129
Sm 0.7705 0.6857 0.3871
Sm 0.7705 0.8143 0.8871
Sm 0.9723 0.6007 0.1443
Sm 0.9723 0.8993 0.6443
Pb 0.2670 0.6147 0.3981
Pb 0.2670 0.8853 0.8981
Pb 0.4426 0.6110 0.1119
Pb 0.4426 0.8890 0.6119
Pb 0.5574 0.1110 0.3881
Pb 0.5574 0.3890 0.8881
Pb 0.7330 0.1147 0.1019
Pb 0.7330 0.3853 0.6019
O 0.0308 0.7348 0.8238
O 0.0308 0.7652 0.3238
O 0.1069 0.1159 0.9325
O 0.1069 0.3841 0.4325
O 0.1820 0.0062 0.5311
O 0.1820 0.4938 0.0311
O 0.2851 0.5357 0.2373
O 0.2851 0.9643 0.7373
O 0.3022 0.1065 0.2940
O 0.3022 0.3935 0.7940
O 0.3442 0.6075 0.5761
O 0.3442 0.8925 0.0761
O 0.4985 0.6891 0.9351
O 0.4985 0.8109 0.4351
O 0.5015 0.1891 0.5649
O 0.5015 0.3109 0.0649
O 0.6558 0.1075 0.9239
O 0.6558 0.3925 0.4239
O 0.6978 0.6065 0.2060
O 0.6978 0.8935 0.7060
O 0.7149 0.0357 0.2627
O 0.7149 0.4643 0.7627
O 0.8180 0.5062 0.9689
O 0.8180 0.9938 0.4689
O 0.8931 0.6159 0.5675
O 0.8931 0.8841 0.0675
O 0.9692 0.2348 0.6762
O 0.9692 0.2652 0.1762

***

(2)
Theoretical XRD peak list of Sn2Pb2O7 for Cu Kα (λ = 1.5418 Å), from a cell relaxed with GGA-PBE.
Neutral-atom scattering factors, no anomalous dispersion.

Peak list (6 most intense, 10° ≤ 2θ ≤ 90°, in order of rising 2θ)
d (Å)	I (rel.)
3.104	100
2.688	37
1.901	47
1.621	47
1.233	20
1.202	17

Structural model:
a b c (Å): 7.6036 7.6036 7.6036
angles (deg): 60.00 60.00 60.00
Sites, in units of the cell vectors:
Sn 0.0000 0.0000 0.0000
Sn 0.0000 0.0000 0.5000
Sn 0.0000 0.5000 0.0000
Sn 0.5000 0.0000 0.0000
Pb 0.0000 0.5000 0.5000
Pb 0.5000 0.0000 0.5000
Pb 0.5000 0.5000 0.0000
Pb 0.5000 0.5000 0.5000
O 0.0821 0.0821 0.6679
O 0.0821 0.6679 0.0821
O 0.0821 0.6679 0.6679
O 0.3321 0.3321 0.9179
O 0.3321 0.9179 0.3321
O 0.3321 0.9179 0.9179
O 0.3750 0.3750 0.3750
O 0.6250 0.6250 0.6250
O 0.6679 0.0821 0.0821
O 0.6679 0.0821 0.6679
O 0.6679 0.6679 0.0821
O 0.9179 0.3321 0.3321
O 0.9179 0.3321 0.9179
O 0.9179 0.9179 0.3321

***

(3)
Theoretical XRD peak list of Sr4SnPbO8 for Cu Kα (λ = 1.5418 Å), from a cell relaxed with GGA-PBE.
Neutral-atom scattering factors, no anomalous dispersion.

Peak list (6 most intense, 10° ≤ 2θ ≤ 90°, in order of rising 2θ)
d (Å)	I (rel.)
6.365	32
2.988	100
2.976	68
2.104	36
1.721	42
1.331	21

Structural model:
a b c (Å): 4.2090 4.2090 12.7302
angles (deg): 90.00 90.00 90.00
Sites, in units of the cell vectors:
Sr 0.0000 0.0000 0.1418
Sr 0.0000 0.0000 0.8582
Sr 0.5000 0.5000 0.3508
Sr 0.5000 0.5000 0.6492
Sn 0.5000 0.5000 0.0000
Pb 0.0000 0.0000 0.5000
O 0.0000 0.0000 0.3285
O 0.0000 0.0000 0.6715
O 0.0000 0.5000 0.0000
O 0.0000 0.5000 0.5000
O 0.5000 0.0000 0.0000
O 0.5000 0.0000 0.5000
O 0.5000 0.5000 0.1622
O 0.5000 0.5000 0.8378